# 1
The following is a simulated powder diffraction line list of LiNdS2O8. It was derived from a structure optimized by DFT (GGA-PBE), using λ = 1.5418 Å (Cu Kα).
Neutral-atom scattering factors, no anomalous dispersion.

Atomic structure:
```
data_LiNdS2O8
_chemical_formula_sum 'Li2 Nd2 S4 O16'
_space_group_name_H-M_alt 'P -4 n 2'
_space_group_IT_number 118
_space_group_name_Hall 'P -4 -2n'
_cell_length_a 7.7068
_cell_length_b 7.7068
_cell_length_c 6.1327
_cell_angle_alpha 90.00
_cell_angle_beta 90.00
_cell_angle_gamma 90.00
loop_
_atom_site_label
_atom_site_fract_x
_atom_site_fract_y
_atom_site_fract_z
Li1 0.0000 0.5000 0.2500
Nd1 0.0000 0.5000 0.7500
S1 0.2209 0.2791 0.2500
O1 0.0872 0.3168 0.0747
O2 0.1020 0.7954 0.6590
```

The 8 most intense peaks (2θ = 10–90°), by angle:
- 16.27°, d 5.450, I 100, hkl 1 1 0
- 18.49°, d 4.799, I 83, hkl 1 0 1
- 21.82°, d 4.074, I 56, hkl 1 1 1
- 29.73°, d 3.005, I 65, hkl 2 1 1
- 33.53°, d 2.672, I 22, hkl 1 1 2
- 37.97°, d 2.369, I 39, hkl 3 0 1
- 44.48°, d 2.037, I 26, hkl 2 2 2
- 47.67°, d 1.908, I 27, hkl 3 1 2



# 2
The following is a simulated powder diffraction line list of LiNdTiO4. It was derived from a structure optimized by DFT (GGA-PBE), using λ = 1.5418 Å (Cu Kα).
Neutral-atom scattering factors, no anomalous dispersion.

Atomic structure:
```
data_LiNdTiO4
_chemical_formula_sum 'Li2 Nd2 Ti2 O8'
_space_group_name_H-M_alt 'P 4/n m m'
_space_group_IT_number 129
_cell_length_a 3.7474
_cell_length_b 3.7474
_cell_length_c 12.2478
_cell_angle_alpha 90.00
_cell_angle_beta 90.00
_cell_angle_gamma 90.00
loop_
_space_group_symop_operation_xyz
'x,y,z'
'-x,-y,-z'
'-y+1/2,x,z'
'y+1/2,-x,-z'
'-x+1/2,-y+1/2,z'
'x+1/2,y+1/2,-z'
'y,-x+1/2,z'
'-y,x+1/2,-z'
'x+1/2,-y,-z'
'-x+1/2,y,z'
'-y,-x,-z'
'y,x,z'
'-x,y+1/2,-z'
'x,-y+1/2,z'
'y+1/2,x+1/2,-z'
'-y+1/2,-x+1/2,z'
loop_
_atom_site_label
_atom_site_fract_x
_atom_site_fract_y
_atom_site_fract_z
Li1 0.2500 0.7500 0.0000
Nd1 0.2500 0.2500 0.3841
Ti1 0.2500 0.2500 0.7902
O1 0.2500 0.2500 0.5748
O2 0.2500 0.2500 0.9371
O3 0.2500 0.7500 0.2505
```

The 8 most intense peaks (2θ = 10–90°), by angle:
- 27.91°, d 3.196, I 100, hkl 1 0 2
- 32.43°, d 2.761, I 36, hkl 1 0 3
- 33.83°, d 2.650, I 39, hkl 1 1 0
- 34.63°, d 2.590, I 21, hkl 1 1 1
- 45.26°, d 2.004, I 24, hkl 1 1 4
- 48.59°, d 1.874, I 26, hkl 2 0 0
- 50.76°, d 1.799, I 20, hkl 1 1 5
- 56.97°, d 1.616, I 28, hkl 2 1 2